TbY5Ag4: computed XRD peak list (a wavelength of 1.5418 Å), based on a DFT-relaxed cell (GGA-PBE, Alexandria).

Crystal structure
```
TbY5Ag4
1.0
3.6199 0.0000 0.0000
0.0000 3.6199 0.0000
0.0000 0.0000 19.7161
Tb Y Ag
1 5 4
Direct
0.0000 0.0000 0.0000
0.5000 0.5000 0.1258
0.5000 0.5000 0.3122
0.5000 0.5000 0.5000
0.5000 0.5000 0.6878
0.5000 0.5000 0.8742
0.0000 0.0000 0.2188
0.0000 0.0000 0.4066
0.0000 0.0000 0.5934
0.0000 0.0000 0.7812
```

Principal peaks in the range 2θ from 10° to 90°, low angle first:
2θ = 30.64°, I 8.8
2θ = 33.61°, I 100.0
2θ = 35.06°, I 55.7
2θ = 36.95°, I 11.2
2θ = 50.42°, I 19.2
2θ = 59.15°, I 9.1
2θ = 61.97°, I 33.6
2θ = 84.67°, I 8.3

---

Rb2Cu2PdF6: computed XRD peak list (a wavelength of 1.5418 Å), based on a DFT-relaxed cell (GGA-PBE, Alexandria).

Crystal structure
```
Rb2Cu2PdF6
1.0
6.3171 -2.9329 0.0000
6.3171 2.9329 0.0000
-1.6608 0.0000 5.3421
Rb Cu Pd F
2 2 1 6
Direct
0.2195 0.2195 0.1908
0.7805 0.7805 0.8092
0.4627 0.4627 0.7643
0.5373 0.5373 0.2357
0.0000 0.0000 0.5000
0.1786 0.6764 0.2508
0.3102 0.3102 0.7287
0.3236 0.8214 0.7492
0.6764 0.1786 0.2508
0.6898 0.6898 0.2713
0.8214 0.3236 0.7492
```

Principal peaks in the range 2θ from 10° to 90°, low angle first:
2θ = 25.22°, I 37.3
2θ = 25.34°, I 27.4
2θ = 27.97°, I 100.0
2θ = 29.62°, I 28.7
2θ = 30.48°, I 43.4
2θ = 35.65°, I 48.3
2θ = 40.04°, I 37.0
2θ = 43.02°, I 28.3

---

Sn4AsS6: computed XRD peak list (a wavelength of 1.5418 Å), based on a DFT-relaxed cell (GGA-PBE, Alexandria).

Crystal structure
```
Sn4AsS6
1.0
8.4193 -3.3266 0.0000
8.4193 3.3266 0.0000
-7.8416 0.0000 10.8896
Sn As S
8 2 12
Direct
0.1047 0.5858 0.1729
0.1291 0.8709 0.5000
0.3496 0.7089 0.8180
0.3693 0.9991 0.2651
0.5858 0.1047 0.6729
0.7089 0.3496 0.3180
0.8709 0.1291 0.0000
0.9991 0.3693 0.7651
0.0118 0.5193 0.5262
0.5193 0.0118 0.0262
0.1028 0.5655 0.7316
0.2877 0.8016 0.0212
0.3186 0.7643 0.3418
0.3445 0.3511 0.0149
0.3475 0.9567 0.7109
0.3511 0.3445 0.5149
0.5655 0.1028 0.2316
0.7643 0.3186 0.8418
0.8016 0.2877 0.5212
0.8469 0.8622 0.5244
0.8622 0.8469 0.0244
0.9567 0.3475 0.2109
```

Principal peaks in the range 2θ from 10° to 90°, low angle first:
2θ = 20.96°, I 89.4
2θ = 21.13°, I 100.0
2θ = 21.29°, I 67.2
2θ = 25.23°, I 92.8
2θ = 26.22°, I 83.7
2θ = 26.80°, I 92.4
2θ = 27.48°, I 57.1
2θ = 28.62°, I 58.8

---

PrGa3Ni: computed XRD peak list (a wavelength of 1.5418 Å), based on a DFT-relaxed cell (GGA-PBE, Alexandria).

Crystal structure
```
PrGa3Ni
1.0
2.9497 -2.9526 0.0000
2.9497 2.9526 0.0000
-2.9193 0.0000 5.3248
Pr Ga Ni
1 3 1
Direct
0.0000 0.0000 0.0000
0.3843 0.3856 0.7609
0.6144 0.6157 0.2391
0.7558 0.2442 0.5000
0.2433 0.7567 0.5000
```

Principal peaks in the range 2θ from 10° to 90°, low angle first:
2θ = 30.29°, I 25.0
2θ = 33.06°, I 45.1
2θ = 33.20°, I 51.8
2θ = 34.72°, I 100.0
2θ = 34.86°, I 30.6
2θ = 43.36°, I 75.5
2θ = 55.55°, I 22.7
2θ = 62.99°, I 24.0

---

K2AlIn7: computed XRD peak list (a wavelength of 1.5418 Å), based on a DFT-relaxed cell (GGA-PBE, Alexandria).

Crystal structure
```
K2AlIn7
1.0
4.8522 0.0000 0.0000
0.0000 4.8522 0.0000
0.0000 0.0000 12.7607
K Al In
2 1 7
Direct
0.0000 0.5000 0.2444
0.5000 0.0000 0.7556
0.5000 0.5000 0.0000
0.0000 0.0000 0.0000
0.0000 0.0000 0.5000
0.0000 0.5000 0.6429
0.0000 0.5000 0.8690
0.5000 0.0000 0.1310
0.5000 0.0000 0.3571
0.5000 0.5000 0.5000
```

Principal peaks in the range 2θ from 10° to 90°, low angle first:
2θ = 19.57°, I 78.5
2θ = 27.89°, I 48.2
2θ = 29.56°, I 100.0
2θ = 37.06°, I 82.8
2θ = 38.53°, I 94.9
2θ = 39.91°, I 40.4
2θ = 55.59°, I 29.3
2θ = 67.77°, I 34.8

---

Li4Tm3Pb4: computed XRD peak list (a wavelength of 1.5418 Å), based on a DFT-relaxed cell (GGA-PBE, Alexandria).

Crystal structure
```
Li4Tm3Pb4
1.0
-2.3082 3.6135 7.5321
2.3082 -3.6135 7.5321
2.3082 3.6135 -7.5321
Li Tm Pb
4 3 4
Direct
0.0151 0.8249 0.1901
0.3652 0.1751 0.1901
0.6348 0.8249 0.8099
0.9849 0.1751 0.8099
0.0000 0.5000 0.5000
0.3748 0.3748 0.0000
0.6252 0.6252 0.0000
0.2154 0.7154 0.5000
0.2893 0.0000 0.2893
0.7107 0.0000 0.7107
0.7846 0.2846 0.5000
```

Principal peaks in the range 2θ from 10° to 90°, low angle first:
2θ = 26.22°, I 55.5
2θ = 27.38°, I 30.7
2θ = 32.01°, I 100.0
2θ = 32.19°, I 30.0
2θ = 33.11°, I 93.8
2θ = 39.02°, I 36.0
2θ = 48.35°, I 44.3
2θ = 63.82°, I 27.0